Simulated X-ray diffraction stick pattern
Compound: Ac3Zn2InPd6
Radiation: Cu Ka
Structure: a GGA-PBE-relaxed structure
Lines closer than 0.1° are merged.

Principal peaks in the range 10 to 90 degrees two-theta, by angle:
2theta	I_rel	index
26.20	64	0 1 2
30.09	59	1 1 0
36.16	56	1 1 2
36.31	100	0 2 1
40.32	77	2 0 2
62.56	35	2 2 0

Cell lengths 5.9394, 5.9394, 9.0696 Å; angles 90.00, 90.00, 120.00 degrees
Space group P-3m1 (No. 164)
Unique sites:
Ac 0.0000 0.0000 0.0000 (multiplicity 1)
Ac 0.3333 0.6667 0.6335 (multiplicity 2)
Zn 0.3333 0.6667 0.0367 (multiplicity 2)
In 0.0000 0.0000 0.5000 (multiplicity 1)
Pd 0.1757 0.3515 0.2727 (multiplicity 6)

***

Simulated X-ray diffraction stick pattern
Compound: AcZnInPd2
Radiation: Cu Ka
Structure: a GGA-PBE-relaxed structure
Lines closer than 0.1° are merged.

Principal peaks in the range 10 to 90 degrees two-theta, by angle:
2theta	I_rel	index
30.41	73	1 0 3
32.89	100	1 1 2
41.84	52	2 0 0
43.01	44	1 0 5
52.60	32	2 1 3
61.57	38	0 0 8

Cell lengths 4.318, 4.318, 12.040 Å; angles 90.00, 90.00, 90.00 degrees
Space group I-4m2 (No. 119)
Unique sites:
Ac 0.000 0.000 0.000 (multiplicity 2)
Zn 0.000 0.500 0.250 (multiplicity 2)
In 0.000 0.500 0.750 (multiplicity 2)
Pd 0.000 0.000 0.386 (multiplicity 4)